# 1
Calculated powder diffractogram of Pm12Sm2Dy for Cu Kα, from a crystal structure in Alexandria, relaxed with PBE.

Most intense lines, 2θ = 5–70°, by angle:
2θ (°)  I/Imax  (hkl)
28.1  42  2 0 2
29.2  30  2 0 3
30.7  36  2 0 4
31.3  100  1 1 7
31.7  30  0 0 9
33.7  24  2 1 4
38.9  31  2 2 0
55.0  27  3 1 9

Structural model:
```
Pm12Sm2Dy
1.0
6.5478 0.0000 0.0000
0.0000 6.5478 0.0000
0.0000 0.0000 25.4235
Pm Sm Dy
24 4 2
Direct
0.0656 0.5656 0.1138
0.0656 0.9344 0.8862
0.0824 0.5824 0.5620
0.0824 0.9176 0.4380
0.2500 0.2500 0.2146
0.2500 0.2500 0.3375
0.2500 0.2500 0.6625
0.2500 0.2500 0.7854
0.4176 0.5824 0.4380
0.4176 0.9176 0.5620
0.4344 0.5656 0.8862
0.4344 0.9344 0.1138
0.5656 0.0656 0.8862
0.5656 0.4344 0.1138
0.5824 0.0824 0.4380
0.5824 0.4176 0.5620
0.7500 0.7500 0.2146
0.7500 0.7500 0.3375
0.7500 0.7500 0.6625
0.7500 0.7500 0.7854
0.9176 0.0824 0.5620
0.9176 0.4176 0.4380
0.9344 0.0656 0.1138
0.9344 0.4344 0.8862
0.2500 0.7500 0.2687
0.2500 0.7500 0.7313
0.7500 0.2500 0.2687
0.7500 0.2500 0.7313
0.2500 0.7500 0.0000
0.7500 0.2500 0.0000
```

---

# 2
Calculated powder diffractogram of Pm8Sm2Dy3 for Cu Kα, from a crystal structure in Alexandria, relaxed with PBE.

Most intense lines, 2θ = 5–70°, by angle:
2θ (°)  I/Imax  (hkl)
30.2  99  0 2 1
30.2  99  2 1 1
35.0  100  2 -1 0
50.4  71  2 3 2
59.9  78  3 3 -1
59.9  7  4 0 1
62.8  18  0 4 2
62.9  6  4 2 2

Structural model:
```
Pm8Sm2Dy3
1.0
6.2693 0.0000 0.0000
1.0458 6.1874 0.0000
2.0914 -0.3471 11.2579
Pm Sm Dy
8 2 3
Direct
0.0389 0.0790 0.3482
0.1926 0.3829 0.7281
0.3461 0.6922 0.1170
0.4227 0.8449 0.8055
0.5773 0.1551 0.1945
0.6539 0.3078 0.8830
0.8074 0.6171 0.2719
0.9611 0.9210 0.6518
0.1152 0.2307 0.0390
0.8848 0.7693 0.9610
0.2701 0.5390 0.4244
0.5000 0.0000 0.5000
0.7299 0.4610 0.5756
```